No. 1
The following is a simulated powder diffractogram of FeO. It was derived from a cell relaxed with GGA+U, using Cu Kα X-rays.
Intensities are scaled so that the largest is 1000.

Principal peaks in the range 5 to 70 degrees two-theta, in order of rising 2θ:
| Position (°2θ) | d (Å) | I (rel.) | (hkl) |
| --- | --- | --- | --- |
| 19.27 | 4.607 | 5 | 1 0 0 |
| 33.70 | 2.660 | 879 | 1 1 0 |
| 34.15 | 2.625 | 201 | 0 0 4 |
| 37.92 | 2.373 | 97 | 1 1 2 |
| 40.08 | 2.250 | 5 | 2 0 1 |
| 48.74 | 1.868 | 1000 | 1 1 4 |
| 60.27 | 1.536 | 294 | 3 0 0 |
| 63.64 | 1.462 | 13 | 2 -1 6 |

Cell and atoms:
Cell lengths 5.3192, 5.3192, 10.5019 Å; angles 90.00, 90.00, 120.00 degrees
Space group P31c (No. 159)
Asymmetric unit:
Fe 0.0025 0.3299 0.0000 [6 per cell]
Fe 0.0125 0.3287 0.7506 [6 per cell]
O 0.0000 0.0000 0.1170 [2 per cell]
O 0.0153 0.6815 0.8736 [6 per cell]
O 0.3333 0.6667 0.1352 [2 per cell]
O 0.3333 0.6667 0.6158 [2 per cell]

No. 2
The following is a simulated powder diffractogram of Fe3O4. It was derived from a cell relaxed with GGA+U, using Cu Kα X-rays.
Intensities are scaled so that the largest is 1000.

Principal peaks in the range 5 to 70 degrees two-theta, in order of rising 2θ:
| Position (°2θ) | d (Å) | I (rel.) | (hkl) |
| --- | --- | --- | --- |
| 32.50 | 2.755 | 1000 | 0 2 3 |
| 32.93 | 2.720 | 290 | 1 1 1 |
| 36.52 | 2.460 | 193 | 1 1 2 |
| 36.74 | 2.446 | 201 | 0 4 0 |
| 42.27 | 2.138 | 434 | 1 3 1 |
| 45.22 | 2.005 | 428 | 1 3 2 |
| 56.35 | 1.633 | 195 | 1 1 5 |
| 59.62 | 1.551 | 141 | 1 5 2 |
| 62.96 | 1.476 | 230 | 2 0 0 |
| 63.50 | 1.465 | 291 | 0 6 3 |

Cell and atoms:
Cell lengths 2.9520, 9.7859, 10.0011 Å; angles 90.00, 90.00, 90.00 degrees
Space group Cmcm (No. 63)
Asymmetric unit:
Fe 0.0000 0.1180 0.2500 [4 per cell]
Fe 0.0000 0.3678 0.0752 [8 per cell]
O 0.0000 0.0000 0.0000 [4 per cell]
O 0.0000 0.2715 0.6125 [8 per cell]
O 0.0000 0.4614 0.2500 [4 per cell]

No. 3
The following is a simulated powder diffractogram of Fe4O13. It was derived from a cell relaxed with GGA+U, using Cu Kα X-rays.
Intensities are scaled so that the largest is 1000.

Principal peaks in the range 5 to 70 degrees two-theta, in order of rising 2θ:
| Position (°2θ) | d (Å) | I (rel.) | (hkl) |
| --- | --- | --- | --- |
| 22.22 | 4.002 | 1000 | 0 0 2 |
| 23.16 | 3.840 | 950 | 0 2 0 |
| 32.31 | 2.771 | 335 | 0 2 2 |
| 36.12 | 2.487 | 475 | 2 0 2 |
| 36.74 | 2.446 | 416 | 2 2 0 |
| 37.89 | 2.374 | 248 | 1 3 0 |
| 43.35 | 2.087 | 555 | 2 2 2 |
| 45.33 | 2.001 | 226 | 0 0 4 |
| 59.70 | 1.549 | 278 | 2 2 4 |
| 68.09 | 1.377 | 300 | 4 2 2 |

Cell and atoms:
Cell lengths 6.3479, 7.6803, 8.0031 Å; angles 90.00, 90.00, 90.00 degrees
Space group Immm (No. 71)
Asymmetric unit:
Fe 0.2500 0.2500 0.2500 [8 per cell]
O 0.0000 0.0000 0.0000 [2 per cell]
O 0.0000 0.3216 0.1629 [8 per cell]
O 0.1077 0.0000 0.2927 [8 per cell]
O 0.1079 0.3029 0.5000 [8 per cell]